The following is a simulated powder XRD pattern of HgAuSe. It was derived from the PBE geometry in Alexandria, using CuKα.
Intensities are scaled so that the largest is 100.

Atomic structure:
abc: 7.244 7.244 8.486
angles: 114.24 114.24 92.01
Fractional coordinates of all 12 atoms:
Hg: 0.016 0.266 0.250
Hg: 0.266 0.016 0.750
Hg: 0.734 0.984 0.250
Hg: 0.984 0.734 0.750
Au: 0.000 0.500 0.000
Au: 0.500 0.000 0.500
Au: 0.500 0.500 0.000
Au: 0.500 0.500 0.500
Se: 0.129 0.379 0.758
Se: 0.379 0.129 0.258
Se: 0.621 0.871 0.742
Se: 0.871 0.621 0.242

Top 10 peaks for 10 to 90 degrees two-theta, in order of falling intensity:
2θ (°)  I_rel
27.91  100
23.04  80
43.65  59
34.27  39
42.01  32
37.86  31
35.04  25
57.61  19
21.92  18
21.43  18

---

The following is a simulated powder XRD pattern of Sc8C3N. It was derived from the PBE geometry in Alexandria, using CuKα.
Intensities are scaled so that the largest is 100.

Atomic structure:
abc: 6.672 6.672 6.672
angles: 59.43 59.43 59.43
Fractional coordinates of all 12 atoms:
Sc: 0.243 0.243 0.243
Sc: 0.243 0.741 0.741
Sc: 0.259 0.259 0.757
Sc: 0.259 0.757 0.259
Sc: 0.741 0.243 0.741
Sc: 0.741 0.741 0.243
Sc: 0.757 0.259 0.259
Sc: 0.757 0.757 0.757
C: 0.000 0.000 0.500
C: 0.000 0.500 0.000
C: 0.500 0.000 0.000
N: 0.500 0.500 0.500

Top 10 peaks for 10 to 90 degrees two-theta, in order of falling intensity:
2θ (°)  I_rel
38.32  100
33.13  95
55.57  31
32.74  30
55.06  27
16.20  24
66.01  21
69.52  14
66.24  11
65.55  9

---

The following is a simulated powder XRD pattern of Ca2Pd3PtAu12. It was derived from the PBE geometry in Alexandria, using CuKα.
Intensities are scaled so that the largest is 100.

Atomic structure:
abc: 9.887 9.887 9.887
angles: 42.31 42.31 42.31
Fractional coordinates of all 18 atoms:
Ca: 0.148 0.148 0.148
Ca: 0.852 0.852 0.852
Pd: 0.000 0.500 0.500
Pd: 0.500 0.000 0.500
Pd: 0.500 0.500 0.000
Pt: 0.500 0.500 0.500
Au: 0.079 0.079 0.694
Au: 0.079 0.694 0.079
Au: 0.110 0.602 0.602
Au: 0.306 0.921 0.921
Au: 0.398 0.398 0.890
Au: 0.398 0.890 0.398
Au: 0.602 0.110 0.602
Au: 0.602 0.602 0.110
Au: 0.694 0.079 0.079
Au: 0.890 0.398 0.398
Au: 0.921 0.306 0.921
Au: 0.921 0.921 0.306

Top 10 peaks for 10 to 90 degrees two-theta, in order of falling intensity:
2θ (°)  I_rel
39.56  100
31.85  80
44.60  54
19.49  53
51.20  49
29.66  36
48.61  27
40.88  23
38.69  21
39.13  21

---

The following is a simulated powder XRD pattern of K2InCu. It was derived from the PBE geometry in Alexandria, using CuKα.
Intensities are scaled so that the largest is 100.

Atomic structure:
abc: 6.796 6.796 6.796
angles: 144.87 126.91 65.26
Fractional coordinates of all 4 atoms:
K: 0.000 0.000 0.000
K: 0.690 0.190 0.500
In: 0.398 0.398 0.000
Cu: 0.260 0.760 0.500

Top 10 peaks for 10 to 90 degrees two-theta, in order of falling intensity:
2θ (°)  I_rel
30.59  100
16.52  69
29.41  42
27.61  29
52.90  28
32.04  25
15.48  24
55.00  21
44.04  20
45.37  18

---

The following is a simulated powder XRD pattern of ReTeN2. It was derived from the PBE geometry in Alexandria, using CuKα.
Intensities are scaled so that the largest is 100.

Atomic structure:
abc: 5.997 5.997 5.997
angles: 60.00 60.00 60.00
Fractional coordinates of all 8 atoms:
Re: 0.125 0.125 0.125
Re: 0.875 0.875 0.875
Te: 0.375 0.375 0.375
Te: 0.625 0.625 0.625
N: 0.000 0.000 0.000
N: 0.000 0.000 0.500
N: 0.000 0.500 0.000
N: 0.500 0.000 0.000

Top 10 peaks for 10 to 90 degrees two-theta, in order of falling intensity:
2θ (°)  I_rel
29.80  100
52.89  40
85.73  21
70.19  17
42.64  16
61.89  14
18.12  8
78.07  4
46.69  2
65.07  1

---

The following is a simulated powder XRD pattern of CeMgCd11. It was derived from the PBE geometry in Alexandria, using CuKα.
Intensities are scaled so that the largest is 100.

Atomic structure:
abc: 7.641 7.641 7.664
angles: 98.67 98.67 134.07
Fractional coordinates of all 13 atoms:
Ce: 0.000 0.000 0.000
Mg: 0.500 0.500 0.500
Cd: 0.000 0.000 0.500
Cd: 0.000 0.500 0.000
Cd: 0.005 0.354 0.352
Cd: 0.292 0.504 0.786
Cd: 0.354 0.005 0.352
Cd: 0.496 0.708 0.214
Cd: 0.500 0.000 0.000
Cd: 0.504 0.292 0.786
Cd: 0.646 0.995 0.648
Cd: 0.708 0.496 0.214
Cd: 0.995 0.646 0.648

Top 10 peaks for 10 to 90 degrees two-theta, in order of falling intensity:
2θ (°)  I_rel
35.07  100
35.70  84
36.02  82
35.85  80
30.80  77
39.62  70
29.97  37
40.22  35
57.11  32
40.35  27

---

The following is a simulated powder XRD pattern of CeY14Sc. It was derived from the PBE geometry in Alexandria, using CuKα.
Intensities are scaled so that the largest is 100.

Atomic structure:
abc: 7.113 7.113 10.036
angles: 90.00 90.00 90.00
Fractional coordinates of all 16 atoms:
Ce: 0.000 0.000 0.000
Y: 0.000 0.000 0.500
Y: 0.000 0.500 0.000
Y: 0.000 0.500 0.500
Y: 0.251 0.251 0.246
Y: 0.251 0.251 0.754
Y: 0.251 0.749 0.246
Y: 0.251 0.749 0.754
Y: 0.500 0.000 0.000
Y: 0.500 0.000 0.500
Y: 0.500 0.500 0.500
Y: 0.749 0.251 0.246
Y: 0.749 0.251 0.754
Y: 0.749 0.749 0.246
Y: 0.749 0.749 0.754
Sc: 0.500 0.500 0.000

Top 10 peaks for 10 to 90 degrees two-theta, in order of falling intensity:
2θ (°)  I_rel
30.81  100
35.73  50
51.42  34
61.12  27
61.24  13
64.19  11
83.95  11
86.57  10
83.85  5
86.74  5

---

The following is a simulated powder XRD pattern of Ta2Nb2Br7. It was derived from the PBE geometry in Alexandria, using CuKα.
Intensities are scaled so that the largest is 100.

Atomic structure:
abc: 8.616 8.616 21.455
angles: 90.04 90.04 157.20
Fractional coordinates of all 22 atoms:
Ta: 0.081 0.363 0.298
Ta: 0.363 0.081 0.798
Ta: 0.637 0.919 0.202
Ta: 0.919 0.637 0.702
Nb: 0.214 0.293 0.044
Nb: 0.293 0.214 0.544
Nb: 0.707 0.786 0.456
Nb: 0.786 0.707 0.956
Br: 0.069 0.447 0.102
Br: 0.135 0.362 0.531
Br: 0.247 0.252 0.358
Br: 0.252 0.247 0.858
Br: 0.280 0.720 0.750
Br: 0.362 0.135 0.031
Br: 0.447 0.069 0.602
Br: 0.553 0.931 0.398
Br: 0.638 0.865 0.969
Br: 0.720 0.280 0.250
Br: 0.748 0.753 0.142
Br: 0.753 0.748 0.642
Br: 0.865 0.638 0.469
Br: 0.931 0.553 0.898

Top 10 peaks for 10 to 90 degrees two-theta, in order of falling intensity:
2θ (°)  I_rel
11.26  100
13.34  29
31.51  21
31.61  21
34.23  19
33.96  17
39.84  16
39.97  15
43.22  14
39.27  9